(1)
Starting from a cell relaxed with PBE, the XRD peak list of Ba6Ru2PtCl2O12 was calculated for Cu Kα X-rays.
Neutral-atom scattering factors, no anomalous dispersion.

Structure:
a b c (Å): 5.9066 5.9066 15.2918
angles (deg): 90.00 90.00 120.00
Fractional coordinates of all 23 atoms:
Ba 0.3333 0.6667 0.0834
Ba 0.3333 0.6667 0.3655
Ba 0.3333 0.6667 0.7856
Ba 0.6667 0.3333 0.2144
Ba 0.6667 0.3333 0.6345
Ba 0.6667 0.3333 0.9166
Ru 0.0000 0.0000 0.1824
Ru 0.0000 0.0000 0.8176
Pt 0.0000 0.0000 0.0000
Cl 0.3333 0.6667 0.5772
Cl 0.6667 0.3333 0.4228
O 0.1514 0.3028 0.9128
O 0.1514 0.8486 0.9128
O 0.1613 0.3225 0.2436
O 0.1613 0.8387 0.2436
O 0.3028 0.1514 0.0872
O 0.3225 0.1613 0.7564
O 0.6775 0.8387 0.2436
O 0.6972 0.8486 0.9128
O 0.8387 0.1613 0.7564
O 0.8387 0.6775 0.7564
O 0.8486 0.1514 0.0872
O 0.8486 0.6972 0.0872

Main lines, by angle (2θ from 15° to 90°):
2θ = 18.3°, I = 39; 2θ = 24.7°, I = 42; 2θ = 29.2°, I = 52; 2θ = 30.3°, I = 100; 2θ = 39.4°, I = 43; 2θ = 42.5°, I = 39; 2θ = 50.5°, I = 23; 2θ = 53.1°, I = 17; 2θ = 53.8°, I = 20; 2θ = 62.9°, I = 17

(2)
Starting from a cell relaxed with PBE, the XRD peak list of Ge2BiBr8 was calculated for Cu Kα X-rays.
Neutral-atom scattering factors, no anomalous dispersion.

Structure:
a b c (Å): 8.3854 8.3854 8.1565
angles (deg): 90.00 90.00 120.00
Fractional coordinates of all 11 atoms:
Ge 0.3333 0.6667 0.2030
Ge 0.6667 0.3333 0.7970
Bi 0.0000 0.0000 0.5000
Br 0.1623 0.3246 0.2954
Br 0.1623 0.8377 0.2954
Br 0.3246 0.1623 0.7046
Br 0.3333 0.6667 0.9124
Br 0.6667 0.3333 0.0876
Br 0.6754 0.8377 0.2954
Br 0.8377 0.1623 0.7046
Br 0.8377 0.6754 0.7046

Main lines, by angle (2θ from 15° to 90°):
2θ = 16.3°, I = 100; 2θ = 21.2°, I = 25; 2θ = 26.9°, I = 41; 2θ = 30.6°, I = 14; 2θ = 33.0°, I = 29; 2θ = 34.5°, I = 32; 2θ = 39.5°, I = 26; 2θ = 43.2°, I = 31; 2θ = 46.4°, I = 14; 2θ = 51.4°, I = 15

(3)
Starting from a cell relaxed with PBE, the XRD peak list of CaY8Er6 was calculated for Cu Kα X-rays.
Neutral-atom scattering factors, no anomalous dispersion.

Structure:
a b c (Å): 9.4970 9.4970 6.5138
angles (deg): 90.00 90.00 120.00
Fractional coordinates of all 15 atoms:
Ca 0.0000 0.0000 0.0000
Y 0.0232 0.6862 0.5959
Y 0.3138 0.3371 0.5959
Y 0.3333 0.6667 0.3393
Y 0.3371 0.0232 0.4041
Y 0.6629 0.9768 0.5959
Y 0.6667 0.3333 0.6607
Y 0.6862 0.6629 0.4041
Y 0.9768 0.3138 0.4041
Er 0.1051 0.4281 0.9063
Er 0.3230 0.8949 0.9063
Er 0.4281 0.3230 0.0937
Er 0.5719 0.6770 0.9063
Er 0.6770 0.1051 0.0937
Er 0.8949 0.5719 0.0937

Main lines, by angle (2θ from 15° to 90°):
2θ = 25.6°, I = 25; 2θ = 28.7°, I = 35; 2θ = 29.5°, I = 20; 2θ = 31.9°, I = 100; 2θ = 32.7°, I = 30; 2θ = 33.4°, I = 76; 2θ = 40.1°, I = 15; 2θ = 50.3°, I = 17; 2θ = 52.9°, I = 17; 2θ = 60.1°, I = 20

(4)
Starting from a cell relaxed with PBE, the XRD peak list of Ag2AuO3 was calculated for Cu Kα X-rays.
Neutral-atom scattering factors, no anomalous dispersion.

Structure:
a b c (Å): 5.7470 5.7470 5.8957
angles (deg): 90.00 90.00 120.00
Fractional coordinates of all 12 atoms:
Ag 0.3333 0.6667 0.0000
Ag 0.3333 0.6667 0.5000
Ag 0.6667 0.3333 0.0000
Ag 0.6667 0.3333 0.5000
Au 0.0000 0.0000 0.2500
Au 0.0000 0.0000 0.7500
O 0.0000 0.3734 0.2500
O 0.0000 0.6266 0.7500
O 0.3734 0.0000 0.2500
O 0.3734 0.3734 0.7500
O 0.6266 0.0000 0.7500
O 0.6266 0.6266 0.2500

Main lines, by angle (2θ from 15° to 90°):
2θ = 17.8°, I = 13; 2θ = 31.1°, I = 100; 2θ = 35.4°, I = 83; 2θ = 47.8°, I = 40; 2θ = 55.4°, I = 25; 2θ = 58.2°, I = 41; 2θ = 64.9°, I = 12; 2θ = 72.0°, I = 18; 2θ = 76.1°, I = 17; 2θ = 88.8°, I = 13

(5)
Starting from a cell relaxed with PBE, the XRD peak list of TaSiPb2 was calculated for Cu Kα X-rays.
Neutral-atom scattering factors, no anomalous dispersion.

Structure:
a b c (Å): 3.3720 3.4895 8.2230
angles (deg): 90.00 90.00 90.00
Fractional coordinates of all 4 atoms:
Ta 0.0000 0.0000 0.0000
Si 0.5000 0.5000 0.8939
Pb 0.0000 0.0000 0.6227
Pb 0.5000 0.5000 0.2647

Main lines, by angle (2θ from 15° to 90°):
2θ = 27.8°, I = 60; 2θ = 28.6°, I = 56; 2θ = 32.7°, I = 50; 2θ = 33.7°, I = 73; 2θ = 34.4°, I = 70; 2θ = 37.1°, I = 100; 2θ = 50.2°, I = 61; 2θ = 52.4°, I = 19; 2θ = 64.2°, I = 24; 2θ = 65.5°, I = 22

(6)
Starting from a cell relaxed with PBE, the XRD peak list of SmZrZnOs was calculated for Cu Kα X-rays.
Neutral-atom scattering factors, no anomalous dispersion.

Structure:
a b c (Å): 4.8544 4.8544 4.8544
angles (deg): 60.00 60.00 60.00
Fractional coordinates of all 4 atoms:
Sm 0.0000 0.0000 0.0000
Zr 0.5000 0.5000 0.5000
Zn 0.2500 0.2500 0.2500
Os 0.7500 0.7500 0.7500

Main lines, by angle (2θ from 15° to 90°):
2θ = 22.4°, I = 15; 2θ = 37.0°, I = 100; 2θ = 43.7°, I = 8; 2θ = 53.4°, I = 17; 2θ = 58.6°, I = 4; 2θ = 66.8°, I = 35; 2θ = 71.4°, I = 3; 2θ = 78.9°, I = 11; 2θ = 83.3°, I = 3

(7)
Starting from a cell relaxed with PBE, the XRD peak list of Li2Br was calculated for Cu Kα X-rays.
Neutral-atom scattering factors, no anomalous dispersion.

Structure:
a b c (Å): 6.6663 3.7058 11.1513
angles (deg): 90.00 90.00 90.00
Fractional coordinates of all 12 atoms:
Li 0.1159 0.2500 0.0895
Li 0.2266 0.2500 0.8183
Li 0.2734 0.7500 0.3183
Li 0.3841 0.7500 0.5895
Li 0.6159 0.2500 0.4105
Li 0.7266 0.2500 0.6817
Li 0.7734 0.7500 0.1817
Li 0.8841 0.7500 0.9105
Br 0.0254 0.7500 0.6840
Br 0.4746 0.2500 0.1840
Br 0.5254 0.7500 0.8160
Br 0.9746 0.2500 0.3160

Main lines, by angle (2θ from 15° to 90°):
2θ = 15.5°, I = 50; 2θ = 15.9°, I = 92; 2θ = 25.3°, I = 100; 2θ = 26.7°, I = 44; 2θ = 27.5°, I = 87; 2θ = 31.3°, I = 26; 2θ = 32.0°, I = 66; 2θ = 37.2°, I = 77; 2θ = 42.8°, I = 87; 2θ = 58.7°, I = 23

(8)
Starting from a cell relaxed with PBE, the XRD peak list of Ca8ZnAg2 was calculated for Cu Kα X-rays.
Neutral-atom scattering factors, no anomalous dispersion.

Structure:
a b c (Å): 8.3003 8.3003 6.1523
angles (deg): 99.70 99.70 112.23
Fractional coordinates of all 11 atoms:
Ca 0.0000 0.0000 0.0000
Ca 0.0331 0.2891 0.5954
Ca 0.1440 0.5894 0.1866
Ca 0.2891 0.0331 0.5954
Ca 0.4392 0.6962 0.7882
Ca 0.5894 0.1440 0.1866
Ca 0.6962 0.4392 0.7882
Ca 0.7291 0.7291 0.3669
Zn 0.3653 0.3653 0.0350
Ag 0.0485 0.6749 0.6811
Ag 0.6749 0.0485 0.6811

Main lines, by angle (2θ from 15° to 90°):
2θ = 15.1°, I = 91; 2θ = 19.9°, I = 62; 2θ = 28.4°, I = 100; 2θ = 30.1°, I = 65; 2θ = 30.3°, I = 86; 2θ = 33.2°, I = 62; 2θ = 33.8°, I = 62; 2θ = 35.6°, I = 57; 2θ = 36.1°, I = 88; 2θ = 36.3°, I = 76

(9)
Starting from a cell relaxed with PBE, the XRD peak list of HoSc2In2 was calculated for Cu Kα X-rays.
Neutral-atom scattering factors, no anomalous dispersion.

Structure:
a b c (Å): 5.0407 5.0407 6.2015
angles (deg): 90.00 90.00 120.00
Fractional coordinates of all 5 atoms:
Ho 0.0000 0.0000 0.0000
Sc 0.3333 0.6667 0.6580
Sc 0.6667 0.3333 0.3420
In 0.3333 0.6667 0.1896
In 0.6667 0.3333 0.8104

Main lines, by angle (2θ from 15° to 90°):
2θ = 24.9°, I = 76; 2θ = 35.5°, I = 98; 2θ = 35.6°, I = 100; 2θ = 38.6°, I = 27; 2θ = 44.0°, I = 17; 2θ = 48.7°, I = 21; 2θ = 51.2°, I = 34; 2θ = 57.8°, I = 15; 2θ = 63.7°, I = 15; 2θ = 63.9°, I = 51

(10)
Starting from a cell relaxed with PBE, the XRD peak list of PuUF6 was calculated for Cu Kα X-rays.
Neutral-atom scattering factors, no anomalous dispersion.

Structure:
a b c (Å): 5.6029 5.6029 8.2583
angles (deg): 90.00 90.00 90.00
Fractional coordinates of all 16 atoms:
Pu 0.0000 0.0000 0.0000
Pu 0.0000 0.0000 0.5000
U 0.5000 0.5000 0.2500
U 0.5000 0.5000 0.7500
F 0.1901 0.2591 0.1802
F 0.1901 0.2591 0.8198
F 0.2591 0.8099 0.3198
F 0.2591 0.8099 0.6802
F 0.3036 0.3414 0.5000
F 0.3414 0.6964 0.0000
F 0.6586 0.3036 0.0000
F 0.6964 0.6586 0.5000
F 0.7409 0.1901 0.3198
F 0.7409 0.1901 0.6802
F 0.8099 0.7409 0.1802
F 0.8099 0.7409 0.8198

Main lines, by angle (2θ from 15° to 90°):
2θ = 22.4°, I = 89; 2θ = 26.8°, I = 100; 2θ = 31.9°, I = 23; 2θ = 42.2°, I = 75; 2θ = 45.8°, I = 18; 2θ = 49.8°, I = 22; 2θ = 51.6°, I = 19; 2θ = 53.9°, I = 21; 2θ = 64.0°, I = 18; 2θ = 70.0°, I = 15

(11)
Starting from a cell relaxed with PBE, the XRD peak list of Cd2H2Pt5 was calculated for Cu Kα X-rays.
Neutral-atom scattering factors, no anomalous dispersion.

Structure:
a b c (Å): 8.6782 8.6782 8.6782
angles (deg): 57.02 139.91 141.20
Fractional coordinates of all 18 atoms:
Cd 0.0222 0.1333 0.1555
Cd 0.0222 0.3667 0.3890
Cd 0.9778 0.6333 0.6110
Cd 0.9778 0.8667 0.8445
H 0.4114 0.2481 0.6633
H 0.5848 0.7481 0.3367
H 0.5887 0.0887 0.5000
H 0.5887 0.5887 0.0000
Pt 0.0012 0.5007 0.0006
Pt 0.0106 0.2543 0.7565
Pt 0.0106 0.7540 0.2563
Pt 0.4957 0.1362 0.6316
Pt 0.4957 0.3642 0.8596
Pt 0.4977 0.2540 0.2435
Pt 0.4977 0.7543 0.7437
Pt 0.5001 0.0007 0.9994
Pt 0.5046 0.6362 0.1404
Pt 0.5046 0.8642 0.3684

Main lines, by angle (2θ from 15° to 90°):
2θ = 16.0°, I = 16; 2θ = 23.0°, I = 13; 2θ = 38.4°, I = 100; 2θ = 39.2°, I = 96; 2θ = 43.7°, I = 72; 2θ = 47.7°, I = 25; 2θ = 64.7°, I = 14; 2θ = 66.7°, I = 36; 2θ = 76.2°, I = 26; 2θ = 77.8°, I = 26

Please write out number 11 again, unchanged.
Starting from a cell relaxed with PBE, the XRD peak list of Cd2H2Pt5 was calculated for Cu Kα X-rays.
Neutral-atom scattering factors, no anomalous dispersion.

Structure:
a b c (Å): 8.6782 8.6782 8.6782
angles (deg): 57.02 139.91 141.20
Fractional coordinates of all 18 atoms:
Cd 0.0222 0.1333 0.1555
Cd 0.0222 0.3667 0.3890
Cd 0.9778 0.6333 0.6110
Cd 0.9778 0.8667 0.8445
H 0.4114 0.2481 0.6633
H 0.5848 0.7481 0.3367
H 0.5887 0.0887 0.5000
H 0.5887 0.5887 0.0000
Pt 0.0012 0.5007 0.0006
Pt 0.0106 0.2543 0.7565
Pt 0.0106 0.7540 0.2563
Pt 0.4957 0.1362 0.6316
Pt 0.4957 0.3642 0.8596
Pt 0.4977 0.2540 0.2435
Pt 0.4977 0.7543 0.7437
Pt 0.5001 0.0007 0.9994
Pt 0.5046 0.6362 0.1404
Pt 0.5046 0.8642 0.3684

Main lines, by angle (2θ from 15° to 90°):
2θ = 16.0°, I = 16; 2θ = 23.0°, I = 13; 2θ = 38.4°, I = 100; 2θ = 39.2°, I = 96; 2θ = 43.7°, I = 72; 2θ = 47.7°, I = 25; 2θ = 64.7°, I = 14; 2θ = 66.7°, I = 36; 2θ = 76.2°, I = 26; 2θ = 77.8°, I = 26

- Number 3 is which compound?
  CaY8Er6

Repeat the eighth record exactly.
Starting from a cell relaxed with PBE, the XRD peak list of Ca8ZnAg2 was calculated for Cu Kα X-rays.
Neutral-atom scattering factors, no anomalous dispersion.

Structure:
a b c (Å): 8.3003 8.3003 6.1523
angles (deg): 99.70 99.70 112.23
Fractional coordinates of all 11 atoms:
Ca 0.0000 0.0000 0.0000
Ca 0.0331 0.2891 0.5954
Ca 0.1440 0.5894 0.1866
Ca 0.2891 0.0331 0.5954
Ca 0.4392 0.6962 0.7882
Ca 0.5894 0.1440 0.1866
Ca 0.6962 0.4392 0.7882
Ca 0.7291 0.7291 0.3669
Zn 0.3653 0.3653 0.0350
Ag 0.0485 0.6749 0.6811
Ag 0.6749 0.0485 0.6811

Main lines, by angle (2θ from 15° to 90°):
2θ = 15.1°, I = 91; 2θ = 19.9°, I = 62; 2θ = 28.4°, I = 100; 2θ = 30.1°, I = 65; 2θ = 30.3°, I = 86; 2θ = 33.2°, I = 62; 2θ = 33.8°, I = 62; 2θ = 35.6°, I = 57; 2θ = 36.1°, I = 88; 2θ = 36.3°, I = 76